Entry 1:
Diffraction record for SrLiBO3. The PXRD pattern is calculated, not measured: it uses a structure optimized by DFT (GGA-PBE) and Cu Kα, 1.54184 Å.
Kinematic intensities with the Lorentz-polarization factor, no thermal factor.

Largest 10 diffraction maxima, by angle, 2θ = 15–90°:
| (hkl) | two_theta | d_spacing | I (rel.) |
| --- | --- | --- | --- |
| 1 0 0 | 16.02 | 5.533 | 32.9 |
| 0 1 1 | 18.93 | 4.688 | 23.3 |
| 1 0 -2 | 22.54 | 3.945 | 30.5 |
| 2 0 -2 | 28.32 | 3.151 | 52.1 |
| 1 1 1 | 29.48 | 3.030 | 43.2 |
| 1 2 -1 | 30.19 | 2.960 | 100.0 |
| 0 1 2 | 30.36 | 2.945 | 36.5 |
| 2 1 -2 | 31.37 | 2.852 | 36.8 |
| 1 0 2 | 38.98 | 2.311 | 30.1 |
| 2 2 1 | 50.34 | 1.813 | 26.1 |

Structural model:
a b c (Å): 6.6668 6.7074 7.8971
angles (deg): 90.00 123.90 90.00
Fractional positions:
Sr 0.1633 0.1196 0.3704
Sr 0.1633 0.3804 0.8704
Sr 0.8367 0.6196 0.1296
Sr 0.8367 0.8804 0.6296
Li 0.4090 0.5966 0.3087
Li 0.4090 0.9034 0.8087
Li 0.5910 0.0966 0.1913
Li 0.5910 0.4034 0.6913
B 0.2612 0.6288 0.5735
B 0.2612 0.8712 0.0735
B 0.7388 0.1288 0.9265
B 0.7388 0.3712 0.4265
O 0.1109 0.7057 0.0070
O 0.1109 0.7943 0.5070
O 0.2446 0.0105 0.9357
O 0.2446 0.4895 0.4357
O 0.4346 0.6016 0.7821
O 0.4346 0.8984 0.2821
O 0.5654 0.1016 0.7179
O 0.5654 0.3984 0.2179
O 0.7554 0.5105 0.5643
O 0.7554 0.9895 0.0643
O 0.8891 0.2057 0.4930
O 0.8891 0.2943 0.9930

Entry 2:
Diffraction record for LiCu6OF11. The PXRD pattern is calculated, not measured: it uses a structure optimized by DFT (GGA-PBE) and Cu Kα, 1.54184 Å.
Kinematic intensities with the Lorentz-polarization factor, no thermal factor.

Largest 10 diffraction maxima, by angle, 2θ = 15–90°:
| (hkl) | two_theta | d_spacing | I (rel.) |
| --- | --- | --- | --- |
| 1 1 1 | 26.30 | 3.388 | 100.0 |
| -1 1 1 | 26.77 | 3.330 | 93.4 |
| 0 0 3 | 31.34 | 2.854 | 74.8 |
| 1 -1 2 | 33.09 | 2.707 | 41.1 |
| 1 1 -2 | 33.82 | 2.650 | 34.6 |
| 0 2 -1 | 35.86 | 2.504 | 25.1 |
| 1 1 4 | 47.89 | 1.899 | 20.6 |
| 2 -2 1 | 52.62 | 1.739 | 17.9 |
| 1 3 0 | 54.83 | 1.674 | 21.6 |
| 0 2 -4 | 57.05 | 1.614 | 20.7 |

Structural model:
a b c (Å): 4.7977 5.3753 8.5940
angles (deg): 85.66 88.24 89.84
Fractional positions:
Li 0.0000 0.0000 0.0000
Cu 0.0122 0.3838 0.1840
Cu 0.0179 0.6253 0.8119
Cu 0.0558 0.0071 0.4574
Cu 0.4995 0.1401 0.8143
Cu 0.5009 0.8934 0.1856
Cu 0.5175 0.5123 0.4997
O 0.1861 0.0772 0.2420
F 0.1845 0.3216 0.9082
F 0.2212 0.7083 0.5817
F 0.3103 0.8365 0.9067
F 0.3151 0.2102 0.5709
F 0.3147 0.5862 0.2521
F 0.6942 0.4489 0.7465
F 0.7031 0.1821 0.0909
F 0.7232 0.8075 0.4219
F 0.8047 0.3171 0.4173
F 0.8207 0.6925 0.0991
F 0.8367 0.9528 0.7741

- Number 1 is which compound?
  SrLiBO3